1.
Structure and theoretical powder diffraction line list of Ag8GeTe6 (a cell relaxed with PBE; a wavelength of 1.5418 Å).
Kinematic intensities with the Lorentz-polarization factor, no thermal factor.

Main lines, low angle first (2θ from 10° to 80°):
d (Å)	2θ (°)	I (rel.)
3.418	26.07	100
3.379	26.38	85
3.301	27.01	25
2.705	33.11	31
2.387	37.68	31
2.292	39.30	46
2.273	39.65	35
2.253	40.01	58
2.094	43.21	40
2.085	43.40	40

Structural model:
a b c (Å): 8.3179 8.3397 14.2745
angles (deg): 73.42 74.59 60.41
Positions (direct):
Ag: 0.0000 0.0000 0.0000
Ag: 0.0291 0.2254 0.5841
Ag: 0.0421 0.5585 0.2729
Ag: 0.1019 0.1263 0.7948
Ag: 0.1360 0.0737 0.1640
Ag: 0.1865 0.1453 0.3631
Ag: 0.2523 0.4095 0.4405
Ag: 0.2970 0.7003 0.1196
Ag: 0.3803 0.5310 0.9368
Ag: 0.4668 0.7517 0.4310
Ag: 0.5505 0.6830 0.7604
Ag: 0.5792 0.6094 0.2429
Ag: 0.6745 0.2164 0.6170
Ag: 0.7215 0.9353 0.9286
Ag: 0.8082 0.4187 0.9116
Ag: 0.8424 0.6422 0.4777
Ge: 0.0901 0.6520 0.6928
Ge: 0.5985 0.1372 0.1947
Te: 0.0310 0.5971 0.8839
Te: 0.2020 0.7702 0.3244
Te: 0.2829 0.3299 0.1244
Te: 0.2838 0.3217 0.6418
Te: 0.2884 0.8332 0.6233
Te: 0.3813 0.8865 0.9272
Te: 0.5498 0.0694 0.3861
Te: 0.7070 0.2646 0.8011
Te: 0.7758 0.8316 0.6238
Te: 0.7794 0.3366 0.1201
Te: 0.7856 0.8201 0.1330
Te: 0.8075 0.3734 0.4219

2.
Structure and theoretical powder diffraction line list of RbPbSe2O6 (a cell relaxed with PBE; a wavelength of 1.5418 Å).
Kinematic intensities with the Lorentz-polarization factor, no thermal factor.

Main lines, low angle first (2θ from 10° to 80°):
d (Å)	2θ (°)	I (rel.)
6.880	12.87	48
5.647	15.69	32
3.572	24.93	81
3.422	26.04	99
3.184	28.02	53
2.853	31.35	100
2.625	34.15	22
2.599	34.51	26
1.777	51.42	28
1.535	60.28	22

Structural model:
a b c (Å): 7.1614 7.1614 7.4793
angles (deg): 101.08 101.08 99.16
Positions (direct):
Rb: 0.1685 0.8315 0.7500
Rb: 0.8315 0.1685 0.2500
Pb: 0.4257 0.5743 0.2500
Pb: 0.5743 0.4257 0.7500
Se: 0.0718 0.3211 0.8207
Se: 0.3211 0.0718 0.3207
Se: 0.6789 0.9282 0.6793
Se: 0.9282 0.6789 0.1793
O: 0.0878 0.5346 0.2573
O: 0.1186 0.2018 0.6235
O: 0.2018 0.1186 0.1235
O: 0.3021 0.4919 0.9112
O: 0.4654 0.9122 0.2427
O: 0.4919 0.3021 0.4112
O: 0.5081 0.6979 0.5888
O: 0.5346 0.0878 0.7573
O: 0.6979 0.5081 0.0888
O: 0.7982 0.8814 0.8765
O: 0.8814 0.7982 0.3765
O: 0.9122 0.4654 0.7427

3.
Structure and theoretical powder diffraction line list of Tb6Nd3Ho (a cell relaxed with PBE; a wavelength of 1.5418 Å).
Kinematic intensities with the Lorentz-polarization factor, no thermal factor.

Main lines, low angle first (2θ from 10° to 80°):
d (Å)	2θ (°)	I (rel.)
3.142	28.41	39
2.943	30.37	22
2.887	30.98	40
2.865	31.22	100
2.843	31.46	46
2.800	31.96	43
2.694	33.26	27
2.648	33.85	23
2.630	34.09	22
1.668	55.06	30

Structural model:
a b c (Å): 6.6745 6.6745 9.7422
angles (deg): 111.54 111.54 59.46
Positions (direct):
Tb: 0.0589 0.5687 0.1875
Tb: 0.1368 0.1368 0.4207
Tb: 0.4313 0.9411 0.8125
Tb: 0.5687 0.0589 0.1875
Tb: 0.8632 0.8632 0.5793
Tb: 0.9411 0.4313 0.8125
Nd: 0.4300 0.4300 0.8005
Nd: 0.5000 0.5000 0.5000
Nd: 0.5700 0.5700 0.1995
Ho: 0.0000 0.0000 0.0000